1.
HoLuCo2Ge2C: computed powder diffractogram (Cu Kα, 1.54184 Å), based on a GGA-PBE-relaxed structure.
Intensities are scaled so that the largest is 100.

Cell and atoms:
```
HoLuCo2Ge2C
1.0
10.644 0.000 0.000
0.000 3.884 0.000
-4.155 0.000 5.317
Ho Lu Co Ge C
2 2 4 4 2
Direct
0.000 0.000 0.000
0.500 0.500 0.000
0.118 0.000 0.581
0.618 0.500 0.581
0.253 0.500 0.376
0.367 0.000 0.209
0.753 0.000 0.376
0.867 0.500 0.209
0.219 0.500 0.987
0.399 0.000 0.594
0.719 0.000 0.987
0.899 0.500 0.594
0.061 0.500 0.297
0.561 0.000 0.297
```

Most intense lines, 10 to 80 degrees two-theta, sorted by position:
d [Å], two_theta, intensity
2.640, 33.96, 41.7
2.609, 34.37, 73.4
2.562, 35.03, 43.3
2.449, 36.70, 100.0
2.269, 39.73, 55.1
1.942, 46.78, 41.5

2.
NdSm2B2N4: computed powder diffractogram (Cu Kα, 1.54184 Å), based on a GGA-PBE-relaxed structure.
Intensities are scaled so that the largest is 100.

Cell and atoms:
```
NdSm2B2N4
1.0
-1.748 3.113 5.340
1.748 -3.113 5.340
1.748 3.113 -5.340
Nd Sm B N
1 2 2 4
Direct
0.000 0.000 0.000
0.298 0.798 0.500
0.702 0.202 0.500
0.357 0.500 0.857
0.643 0.500 0.143
0.123 0.379 0.744
0.365 0.621 0.744
0.635 0.379 0.256
0.877 0.621 0.256
```

Most intense lines, 10 to 80 degrees two-theta, sorted by position:
d [Å], two_theta, intensity
3.113, 28.68, 35.2
3.091, 28.89, 64.4
2.648, 33.85, 100.0
2.272, 39.67, 30.5
1.823, 50.04, 22.5
1.693, 54.19, 23.4

3.
ZnAu15: computed powder diffractogram (Cu Kα, 1.54184 Å), based on a GGA-PBE-relaxed structure.
Intensities are scaled so that the largest is 100.

Cell and atoms:
```
ZnAu15
1.0
5.066 0.000 0.000
0.000 37.713 0.000
-1.744 0.000 4.755
Zn Au
2 30
Direct
0.000 0.212 0.250
0.000 0.788 0.750
0.000 0.239 0.750
0.000 0.283 0.250
0.000 0.322 0.750
0.000 0.362 0.250
0.000 0.401 0.750
0.000 0.441 0.250
0.000 0.480 0.750
0.000 0.520 0.250
0.000 0.559 0.750
0.000 0.599 0.250
0.000 0.638 0.750
0.000 0.678 0.250
0.000 0.717 0.750
0.000 0.761 0.250
0.500 0.206 0.750
0.500 0.239 0.250
0.500 0.284 0.750
0.500 0.322 0.250
0.500 0.362 0.750
0.500 0.401 0.250
0.500 0.441 0.750
0.500 0.480 0.250
0.500 0.520 0.750
0.500 0.559 0.250
0.500 0.599 0.750
0.500 0.638 0.250
0.500 0.678 0.750
0.500 0.716 0.250
0.500 0.761 0.750
0.500 0.794 0.250
```

Most intense lines, 10 to 80 degrees two-theta, sorted by position:
d [Å], two_theta, intensity
2.506, 35.83, 29.0
2.377, 37.85, 100.0
2.131, 42.41, 18.3
2.075, 43.61, 21.7
2.051, 44.16, 23.6
1.459, 63.78, 15.9

4.
HoEr2Co2C2N3: computed powder diffractogram (Cu Kα, 1.54184 Å), based on a GGA-PBE-relaxed structure.
Intensities are scaled so that the largest is 100.

Cell and atoms:
```
HoEr2Co2C2N3
1.0
-1.710 1.710 9.648
1.710 -1.710 9.648
1.710 1.710 -9.648
Ho Er Co C N
1 2 2 2 3
Direct
0.000 0.000 0.000
0.373 0.373 0.000
0.627 0.627 0.000
0.250 0.750 0.500
0.750 0.250 0.500
0.194 0.194 0.000
0.806 0.806 0.000
0.120 0.120 0.000
0.500 0.500 0.000
0.880 0.880 0.000
```

Most intense lines, 10 to 80 degrees two-theta, sorted by position:
d [Å], two_theta, intensity
3.019, 29.58, 100.0
2.559, 35.06, 70.9
2.415, 37.23, 85.4
2.346, 38.38, 31.7
1.709, 53.63, 57.7
1.395, 67.10, 30.7